# 1
CsMg2H6: theoretical powder diffractogram (Cu Kα), based on a structure optimized by DFT (PBE).
Lines closer than 0.1° are merged.

Main lines, most intense first (5 to 70 degrees two-theta):
24.49 deg, I 100.0, (1 1 0); 11.55 deg, I 67.5, (0 0 1); 31.61 deg, I 65.6, (1 1 -2); 19.19 deg, I 64.6, (2 0 -1); 23.22 deg, I 57.1, (0 0 2); 25.96 deg, I 54.7, (2 0 1)

Structure:
a b c (Å): 9.5940 3.9683 8.1182
angles (deg): 90.00 109.29 90.00
Space group C2/m (No. 12)
Symmetry-distinct sites (fractional):
Cs  0.0000  0.0000  0.0000 (multiplicity 2)
Mg  0.1732  0.0000  0.5834 (multiplicity 4)
H  0.0081  0.0000  0.3646 (multiplicity 4)
H  0.1911  0.5000  0.5496 (multiplicity 4)
H  0.2399  0.5000  0.1768 (multiplicity 4)

# 2
K2W2C: theoretical powder diffractogram (Cu Kα), based on a structure optimized by DFT (PBE).
Lines closer than 0.1° are merged.

Main lines, most intense first (5 to 70 degrees two-theta):
14.21 deg, I 100.0, (0 0 1); 38.14 deg, I 91.6, (2 1 1); 28.65 deg, I 48.9, (0 0 2); 57.20 deg, I 27.8, (2 1 3); 35.20 deg, I 24.0, (2 1 0); 46.00 deg, I 23.5, (2 1 2)

Structure:
a b c (Å): 5.7014 5.7014 6.2313
angles (deg): 90.00 90.00 90.00
Space group P4/mbm (No. 127)
Symmetry-distinct sites (fractional):
K  0.1789  0.3211  0.0000 (multiplicity 4)
W  0.1712  0.6712  0.5000 (multiplicity 4)
C  0.0000  0.0000  0.5000 (multiplicity 2)

# 3
MnGaPPt: theoretical powder diffractogram (Cu Kα), based on a structure optimized by DFT (PBE).
Lines closer than 0.1° are merged.

Main lines, most intense first (5 to 70 degrees two-theta):
47.09 deg, I 100.0, (1 1 1); 41.34 deg, I 94.4, (1 0 2); 12.65 deg, I 83.2, (0 0 1); 33.60 deg, I 77.2, (0 1 1); 31.00 deg, I 58.9, (0 1 0); 34.55 deg, I 53.5, (1 0 1)

Structure:
a b c (Å): 2.7952 2.8850 6.9996
angles (deg): 90.00 90.00 90.00
Space group Pmm2 (No. 25)
Symmetry-distinct sites (fractional):
Mn  0.0000  0.0000  0.0000 (multiplicity 1)
Ga  0.5000  0.5000  0.2524 (multiplicity 1)
P  0.5000  0.5000  0.8504 (multiplicity 1)
Pt  0.0000  0.5000  0.5686 (multiplicity 1)

# 4
AcNd2Ho5: theoretical powder diffractogram (Cu Kα), based on a structure optimized by DFT (PBE).
Lines closer than 0.1° are merged.

Main lines, most intense first (5 to 70 degrees two-theta):
30.22 deg, I 100.0, (2 0 1); 35.04 deg, I 50.7, (0 0 2); 50.40 deg, I 36.3, (2 4 2); 59.87 deg, I 28.9, (2 0 3); 59.95 deg, I 14.3, (4 4 1); 62.86 deg, I 12.4, (4 0 2)

Structure:
a b c (Å): 7.2340 14.4874 5.1275
angles (deg): 90.00 90.00 90.00
Space group Pbam (No. 55)
Symmetry-distinct sites (fractional):
Ac  0.0000  0.0000  0.0000 (multiplicity 2)
Nd  0.2426  0.3716  0.5000 (multiplicity 4)
Ho  0.0000  0.5000  0.0000 (multiplicity 2)
Ho  0.0056  0.7466  0.0000 (multiplicity 4)
Ho  0.2488  0.1275  0.5000 (multiplicity 4)

# 5
CoTe: theoretical powder diffractogram (Cu Kα), based on a structure optimized by DFT (PBE).
Lines closer than 0.1° are merged.

Main lines, most intense first (5 to 70 degrees two-theta):
47.70 deg, I 100.0, (1 3 2); 33.66 deg, I 85.8, (1 3 0); 32.78 deg, I 47.2, (0 0 2); 29.13 deg, I 47.2, (1 0 1); 28.46 deg, I 42.9, (0 3 1); 49.20 deg, I 24.9, (2 0 0)

Structure:
a b c (Å): 3.7036 11.4889 5.4644
angles (deg): 90.00 90.00 90.00
Space group Imm2 (No. 44)
Symmetry-distinct sites (fractional):
Co  0.0000  0.0000  0.0000 (multiplicity 2)
Co  0.0000  0.1692  0.6996 (multiplicity 4)
Te  0.0000  0.1815  0.2342 (multiplicity 4)
Te  0.0000  0.5000  0.2038 (multiplicity 2)

# 6
Ca2Al5Zn2: theoretical powder diffractogram (Cu Kα), based on a structure optimized by DFT (PBE).
Lines closer than 0.1° are merged.

Main lines, most intense first (5 to 70 degrees two-theta):
35.09 deg, I 100.0, (1 1 2); 43.56 deg, I 84.7, (2 0 0); 41.00 deg, I 50.8, (1 0 4); 40.26 deg, I 40.7, (1 1 3); 63.31 deg, I 40.0, (2 2 0); 8.52 deg, I 37.5, (0 0 1)

Structure:
a b c (Å): 4.1553 4.1553 10.3830
angles (deg): 90.00 90.00 90.00
Space group P4/mmm (No. 123)
Symmetry-distinct sites (fractional):
Ca  0.0000  0.0000  0.0000 (multiplicity 1)
Ca  0.0000  0.0000  0.5000 (multiplicity 1)
Al  0.0000  0.5000  0.2208 (multiplicity 4)
Al  0.5000  0.5000  0.0000 (multiplicity 1)
Zn  0.5000  0.5000  0.3809 (multiplicity 2)

# 7
Dy2Al2Ag3: theoretical powder diffractogram (Cu Kα), based on a structure optimized by DFT (PBE).
Lines closer than 0.1° are merged.

Main lines, most intense first (5 to 70 degrees two-theta):
33.51 deg, I 100.0, (1 5 1); 32.73 deg, I 86.8, (1 1 2); 42.48 deg, I 29.2, (2 0 0); 41.62 deg, I 24.3, (0 4 3); 30.11 deg, I 20.8, (0 6 1); 60.98 deg, I 15.6, (2 4 3)

Structure:
a b c (Å): 4.2560 19.5104 7.2690
angles (deg): 90.00 90.00 90.00
Space group Cmcm (No. 63)
Symmetry-distinct sites (fractional):
Dy  0.0000  0.0575  0.2500 (multiplicity 4)
Dy  0.0000  0.1529  0.7500 (multiplicity 4)
Al  0.0000  0.3067  0.5574 (multiplicity 8)
Ag  0.0000  0.2259  0.2500 (multiplicity 4)
Ag  0.0000  0.4351  0.0581 (multiplicity 8)

# 8
Rb3TlTe2: theoretical powder diffractogram (Cu Kα), based on a structure optimized by DFT (PBE).
Lines closer than 0.1° are merged.

Main lines, most intense first (5 to 70 degrees two-theta):
28.01 deg, I 100.0, (3 1 2); 24.08 deg, I 98.8, (2 1 2); 32.79 deg, I 71.0, (4 1 2); 34.09 deg, I 65.3, (0 2 0); 13.10 deg, I 65.3, (1 0 2); 34.62 deg, I 63.1, (3 1 4)

Structure:
a b c (Å): 14.0493 5.2595 15.4245
angles (deg): 90.00 90.00 90.00
Space group Pnma (No. 62)
Symmetry-distinct sites (fractional):
Rb  0.0637  0.2500  0.1007 (multiplicity 4)
Rb  0.1262  0.7500  0.5501 (multiplicity 4)
Rb  0.1714  0.2500  0.8160 (multiplicity 4)
Tl  0.1602  0.2500  0.3162 (multiplicity 4)
Te  0.0295  0.7500  0.3301 (multiplicity 4)
Te  0.1915  0.7500  0.9799 (multiplicity 4)